Starting from a DFT-relaxed cell (GGA+U, Alexandria), the XRD peak list of Li6Ni3P6WO24 was calculated for Cu Kα, 1.54184 Å.
Lines closer than 0.1° are merged.

Principal peaks in the range 10° ≤ 2θ ≤ 80°, in order of rising 2θ:
2theta  I (rel.)  hkl
12.71  37  0 1 -1
14.16  42  0 1 0
14.46  87  1 -1 1
19.64  100  -1 1 1
19.93  49  0 1 -2
21.03  54  2 -1 0
23.89  32  1 -2 0
24.13  72  1 1 -2
28.55  34  0 2 0
31.93  39  1 1 -3

Crystal structure
Cell lengths 8.4427, 8.4588, 8.9492 Å; angles 117.36, 90.22, 119.37 degrees
Space group P1 (No. 1)
Inequivalent atoms, fractional coordinates:
Li (0.0000, 0.0000, 0.0000) x1
Li (0.0887, 0.7527, 0.1184) x1
Li (0.2727, 0.7664, 0.6015) x1
Li (0.5338, 0.4048, 0.5985) x1
Li (0.6989, 0.2479, 0.8958) x1
Li (0.9104, 0.0366, 0.6111) x1
Ni (0.2749, 0.1325, 0.6939) x1
Ni (0.7673, 0.1211, 0.1754) x1
Ni (0.9644, 0.5179, 0.7722) x1
P (0.0787, 0.3420, 0.9874) x1
P (0.1468, 0.3154, 0.4687) x1
P (0.3693, 0.0342, 0.9919) x1
P (0.5937, 0.0494, 0.4975) x1
P (0.6628, 0.6205, 0.9794) x1
P (0.8674, 0.6094, 0.4869) x1
W (0.4750, 0.5461, 0.3026) x1
O (0.0268, 0.1889, 0.2794) x1
O (0.0703, 0.8036, 0.5450) x1
O (0.0971, 0.1628, 0.8461) x1
O (0.1181, 0.5196, 0.9567) x1
O (0.1272, 0.4985, 0.6004) x1
O (0.1320, 0.1715, 0.5340) x1
O (0.1565, 0.8808, 0.9660) x1
O (0.2373, 0.4573, 0.1675) x1
O (0.3669, 0.4436, 0.4611) x1
O (0.4039, 0.0592, 0.8313) x1
O (0.4264, 0.2683, 0.1511) x1
O (0.4434, 0.1034, 0.5222) x1
O (0.4839, 0.4460, 0.8230) x1
O (0.4869, 0.8090, 0.4670) x1
O (0.4957, 0.9816, 0.0452) x1
O (0.6010, 0.6355, 0.1545) x1
O (0.6649, 0.0366, 0.3436) x1
O (0.7274, 0.6838, 0.4582) x1
O (0.7471, 0.8354, 0.9993) x1
O (0.7621, 0.1869, 0.6690) x1
O (0.8110, 0.5611, 0.9760) x1
O (0.8126, 0.5622, 0.6336) x1
O (0.8183, 0.4187, 0.3118) x1
O (0.8826, 0.2304, 0.0105) x1